Entry 1:
Starting from the GGA-PBE geometry in Alexandria, the X-ray powder pattern of YScGePd was computed for Cu Kα (weighted mean of Kα1 and Kα2).

Main lines, by intensity (2θ from 10° to 90°):
hkl 2 2 0, 2θ 36.9, I = 100; hkl 4 2 2, 2θ 66.4, I = 34; hkl 4 0 0, 2θ 53.1, I = 17; hkl 6 2 0, 2θ 90.0, I = 15; hkl 4 4 0, 2θ 78.5, I = 10; hkl 1 1 1, 2θ 22.3, I = 8; hkl 3 1 1, 2θ 43.5, I = 4; hkl 2 0 0, 2θ 25.8, I = 3; hkl 3 3 1, 2θ 58.3, I = 2; hkl 5 3 1, 2θ 82.8, I = 1; hkl 5 1 1, 2θ 71.0, I = 1; hkl 4 2 0, 2θ 60.0, I = 1

Crystal structure
```
data_YScGePd
_cell_length_a 6.8961
_cell_length_b 6.8961
_cell_length_c 6.8961
_cell_angle_alpha 90.00
_cell_angle_beta 90.00
_cell_angle_gamma 90.00
_space_group_name_H-M_alt 'F -4 3 m'
_space_group_IT_number 216
_space_group_name_Hall 'F -4 2 3'
loop_
_atom_site_label
_atom_site_type_symbol
_atom_site_fract_x
_atom_site_fract_y
_atom_site_fract_z
Y1 Y 0.0000 0.0000 0.0000
Sc1 Sc 0.0000 0.0000 0.5000
Ge1 Ge 0.2500 0.2500 0.7500
Pd1 Pd 0.2500 0.2500 0.2500
```

=====

Entry 2:
Starting from the GGA-PBE geometry in Alexandria, the X-ray powder pattern of Sm2SiGe3Pd4 was computed for Cu Kα (weighted mean of Kα1 and Kα2).

Main lines, by intensity (2θ from 10° to 90°):
hkl 1 1 2, 2θ 34.4, I = 100; hkl 1 0 3, 2θ 33.8, I = 82; hkl 2 0 0, 2θ 41.9, I = 72; hkl 2 1 3, 2θ 54.9, I = 41; hkl 1 0 5, 2θ 50.0, I = 28; hkl 2 2 0, 2θ 60.8, I = 24; hkl 1 1 0, 2θ 29.3, I = 23; hkl 3 1 2, 2θ 71.7, I = 23; hkl 2 1 5, 2θ 67.2, I = 23; hkl 1 1 6, 2θ 63.2, I = 17; hkl 1 1 4, 2θ 46.8, I = 16; hkl 3 2 3, 2θ 86.4, I = 11

Crystal structure
```
data_Sm2SiGe3Pd4
_cell_length_a 4.3117
_cell_length_b 4.3117
_cell_length_c 10.0704
_cell_angle_alpha 90.00
_cell_angle_beta 90.00
_cell_angle_gamma 90.00
_space_group_name_H-M_alt 'P -4 m 2'
_space_group_IT_number 115
loop_
_space_group_symop_operation_xyz
'x,y,z'
'y,-x,-z'
'-x,-y,z'
'-y,x,-z'
'-x,y,z'
'-y,-x,-z'
'x,-y,z'
'y,x,-z'
loop_
_atom_site_label
_atom_site_type_symbol
_atom_site_fract_x
_atom_site_fract_y
_atom_site_fract_z
Sm1 Sm 0.0000 0.5000 0.2454
Si1 Si 0.5000 0.5000 0.0000
Ge1 Ge 0.0000 0.0000 0.0000
Ge2 Ge 0.0000 0.5000 0.6330
Pd1 Pd 0.0000 0.0000 0.5000
Pd2 Pd 0.0000 0.5000 0.8788
Pd3 Pd 0.5000 0.5000 0.5000
```

=====

Entry 3:
Starting from the GGA-PBE geometry in Alexandria, the X-ray powder pattern of SmGePd was computed for Cu Kα (weighted mean of Kα1 and Kα2).

Main lines, by intensity (2θ from 10° to 90°):
hkl 1 0 1, 2θ 33.9, I = 100; hkl 1 1 0, 2θ 40.2, I = 59; hkl 2 0 1, 2θ 53.6, I = 27; hkl 1 1 2, 2θ 66.6, I = 26; hkl 2 1 1, 2θ 69.1, I = 25; hkl 0 0 2, 2θ 50.6, I = 10; hkl 3 0 0, 2θ 73.1, I = 10; hkl 1 0 0, 2θ 22.9, I = 9; hkl 1 0 3, 2θ 84.4, I = 7; hkl 2 2 0, 2θ 86.9, I = 6; hkl 1 0 2, 2θ 56.3, I = 2; hkl 2 0 0, 2θ 46.8, I = 1

Crystal structure
```
data_SmGePd
_cell_length_a 4.4822
_cell_length_b 4.4822
_cell_length_c 3.6058
_cell_angle_alpha 90.00
_cell_angle_beta 90.00
_cell_angle_gamma 120.00
_space_group_name_H-M_alt 'P -6 m 2'
_space_group_IT_number 187
_space_group_name_Hall 'P -6 2'
loop_
_atom_site_label
_atom_site_type_symbol
_atom_site_fract_x
_atom_site_fract_y
_atom_site_fract_z
Sm1 Sm 0.0000 0.0000 0.0000
Ge1 Ge 0.6667 0.3333 0.5000
Pd1 Pd 0.3333 0.6667 0.5000
```

=====

Entry 4:
Starting from the GGA-PBE geometry in Alexandria, the X-ray powder pattern of SmGe4Pd4 was computed for Cu Kα (weighted mean of Kα1 and Kα2).

Main lines, by intensity (2θ from 10° to 90°):
hkl 2 1 1, 2θ 33.8, I = 100; hkl 2 0 3, 2θ 43.4, I = 43; hkl 1 0 3, 2θ 35.1, I = 29; hkl 2 2 0, 2θ 40.8, I = 27; hkl 4 0 0, 2θ 59.1, I = 19; hkl 3 0 3, 2θ 54.9, I = 17; hkl 4 2 3, 2θ 76.1, I = 15; hkl 1 1 2, 2θ 29.3, I = 14; hkl 1 0 4, 2θ 45.6, I = 13; hkl 5 2 1, 2θ 84.2, I = 13; hkl 2 2 4, 2θ 60.9, I = 12; hkl 3 1 0, 2θ 45.9, I = 12

Crystal structure
```
data_SmGe4Pd4
_cell_length_a 6.2528
_cell_length_b 6.2528
_cell_length_c 8.3919
_cell_angle_alpha 90.00
_cell_angle_beta 90.00
_cell_angle_gamma 90.00
_space_group_name_H-M_alt 'P 42/n m c'
_space_group_IT_number 137
loop_
_space_group_symop_operation_xyz
'x,y,z'
'-x,-y,-z'
'-y+1/2,x,z+1/2'
'y+1/2,-x,-z+1/2'
'-x+1/2,-y+1/2,z'
'x+1/2,y+1/2,-z'
'y,-x+1/2,z+1/2'
'-y,x+1/2,-z+1/2'
'x+1/2,-y,-z'
'-x+1/2,y,z'
'-y,-x,-z+1/2'
'y,x,z+1/2'
'-x,y+1/2,-z'
'x,-y+1/2,z'
'y+1/2,x+1/2,-z+1/2'
'-y+1/2,-x+1/2,z+1/2'
loop_
_atom_site_label
_atom_site_type_symbol
_atom_site_fract_x
_atom_site_fract_y
_atom_site_fract_z
Sm1 Sm 0.2500 0.7500 0.2500
Ge1 Ge 0.0306 0.2500 0.0572
Pd1 Pd 0.0266 0.2500 0.3531
```